Theoretical powder X-ray diffraction pattern
Compound: HoCuW2O8
Radiation: Cu Kα
Structure: a cell relaxed with GGA+U
Neutral-atom scattering factors, no anomalous dispersion.

Cell: 5.0827 6.0076 11.0039 Å, 90.00 114.71 90.00°
Space group P2/c (No. 13)
One atom of each set of equivalent atoms:
Ho 0.0000 0.1631 0.2500 [2 per cell]
Cu 0.5000 0.2164 0.7500 [2 per cell]
W 0.2380 0.3325 0.9890 [4 per cell]
O 0.1623 0.4103 0.6102 [4 per cell]
O 0.2176 0.1352 0.1117 [4 per cell]
O 0.2695 0.1424 0.8633 [4 per cell]
O 0.3391 0.3855 0.4028 [4 per cell]

Top 10 peaks for 2θ = 5–70°, by angle:
- 2θ = 23.1°, I = 51, hkl 0 1 2
- 2θ = 28.6°, I = 96, hkl 1 1 1
- 2θ = 29.7°, I = 100, hkl 1 1 -3
- 2θ = 34.7°, I = 38, hkl 1 2 -1
- 2θ = 35.4°, I = 28, hkl 2 0 -2
- 2θ = 35.9°, I = 21, hkl 0 0 4
- 2θ = 49.0°, I = 26, hkl 0 3 2
- 2θ = 50.1°, I = 19, hkl 1 2 3
- 2θ = 51.5°, I = 21, hkl 1 2 -5
- 2θ = 61.3°, I = 22, hkl 2 3 0